The following is a theoretical X-ray diffraction stick pattern of V2OsWF. It was derived from DFT lattice parameters and positions (PBE+U), using Cu Kα (λ = 1.5418 Å).

Top 10 peaks for 10 to 90 degrees two-theta, most intense first:
hkl 1 0 0, 18.1°, I = 100; hkl 2 0 0, 36.7°, I = 34; hkl 1 1 0, 25.7°, I = 29; hkl 1 0 2, 40.4°, I = 27; hkl 2 1 0, 41.2°, I = 26; hkl 2 0 2, 52.2°, I = 25; hkl 2 1 2, 55.7°, I = 22; hkl 0 0 2, 35.8°, I = 19; hkl 1 1 2, 44.6°, I = 14; hkl 2 2 2, 65.5°, I = 12

Crystal structure
abc: 4.8940 4.8940 5.0225
angles: 90.00 90.00 90.00
Positions (direct):
V 0.0000 0.5000 0.0000
V 0.5000 0.0000 0.0000
Os 0.0000 0.0000 0.0000
W 0.0000 0.0000 0.5000
F 0.5000 0.5000 0.5000